Simulated powder XRD pattern
Compound: LaNd5Sm6
Radiation: Cu Kα, 1.54184 Å
Structure: the GGA-PBE geometry in Alexandria
Lines closer than 0.1° are merged.

The 10 most intense peaks (10 to 90 degrees two-theta), in order of falling intensity:
- 29.84 deg, I 100.0
- 34.63 deg, I 67.4
- 59.09 deg, I 33.7
- 29.96 deg, I 33.0
- 49.71 deg, I 24.3
- 49.86 deg, I 24.1
- 59.20 deg, I 19.2
- 62.00 deg, I 12.5
- 80.75 deg, I 11.8
- 83.33 deg, I 10.9

Structural model:
```
12
Lattice="3.176 -5.504 0.000 3.176 5.504 0.000 -2.127 0.000 11.931" Properties=species:S:1:pos:R:3 pbc="T T T"
La 0.000 0.000 0.000
Nd 2.113 3.667 5.966
Nd 3.176 1.833 0.000
Nd 2.113 0.000 5.966
Nd 3.176 -1.833 0.000
Nd 2.113 -3.667 5.966
Sm 1.056 1.837 2.992
Sm -0.003 0.000 8.937
Sm 1.056 -1.837 2.992
Sm 3.170 1.837 8.939
Sm 4.228 0.000 2.994
Sm 3.170 -1.837 8.939
```

Simulated powder XRD pattern
Compound: Ta8Nb3W2
Radiation: Cu Kα, 1.54184 Å
Structure: the GGA-PBE geometry in Alexandria
Lines closer than 0.1° are merged.

The 10 most intense peaks (10 to 90 degrees two-theta), in order of falling intensity:
- 38.59 deg, I 100.0
- 38.67 deg, I 66.9
- 38.79 deg, I 33.6
- 69.88 deg, I 29.0
- 70.14 deg, I 17.3
- 55.62 deg, I 11.7
- 70.02 deg, I 11.5
- 55.82 deg, I 11.4
- 55.97 deg, I 11.3
- 11.34 deg, I 9.5

Structural model:
```
13
Lattice="5.454 0.000 0.000 -0.499 5.462 0.000 -0.030 -1.995 7.803" Properties=species:S:1:pos:R:3 pbc="T T T"
Ta 0.018 1.952 1.212
Ta 0.933 -0.902 5.952
Ta 1.410 3.689 3.022
Ta 2.006 2.169 5.359
Ta 2.919 1.298 2.445
Ta 3.516 -0.221 4.781
Ta 3.992 4.370 1.852
Ta 4.908 1.516 6.591
Nb 1.019 5.073 0.587
Nb 2.478 2.731 0.000
Nb 3.906 -1.605 7.217
W 0.466 0.582 3.614
W 4.459 2.886 4.189
```

Simulated powder XRD pattern
Compound: Cs2Rb2Pb
Radiation: Cu Kα, 1.54184 Å
Structure: the GGA-PBE geometry in Alexandria
Lines closer than 0.1° are merged.

The 10 most intense peaks (10 to 90 degrees two-theta), in order of falling intensity:
- 23.92 deg, I 100.0
- 11.40 deg, I 95.5
- 25.27 deg, I 91.7
- 21.94 deg, I 77.3
- 11.00 deg, I 74.8
- 20.43 deg, I 70.6
- 26.96 deg, I 65.6
- 26.17 deg, I 62.6
- 29.87 deg, I 62.2
- 22.11 deg, I 58.7

Structural model:
```
10
Lattice="5.217 -7.895 0.000 5.217 7.895 0.000 -4.690 0.000 9.441" Properties=species:S:1:pos:R:3 pbc="T T T"
Cs 1.088 4.441 6.867
Cs 4.655 4.441 2.575
Cs 1.088 -4.441 6.867
Cs 4.655 -4.441 2.575
Rb -0.417 0.000 6.015
Rb 2.388 0.000 1.135
Rb 3.355 0.000 8.306
Rb 6.160 0.000 3.426
Pb 2.872 1.542 4.721
Pb 2.872 -1.542 4.721
```

Simulated powder XRD pattern
Compound: Pr8Bi3Te4Se
Radiation: Cu Kα, 1.54184 Å
Structure: the GGA-PBE geometry in Alexandria
Lines closer than 0.1° are merged.

The 10 most intense peaks (10 to 90 degrees two-theta), in order of falling intensity:
- 27.75 deg, I 100.0
- 39.64 deg, I 76.8
- 64.84 deg, I 35.4
- 49.08 deg, I 27.6
- 71.93 deg, I 25.9
- 57.31 deg, I 12.9
- 85.40 deg, I 8.3
- 11.92 deg, I 3.1
- 22.93 deg, I 2.7
- 30.29 deg, I 2.3

Structural model:
```
16
Lattice="4.547 2.625 7.427 -4.547 2.625 7.427 0.000 -5.250 7.427" Properties=species:S:1:pos:R:3 pbc="T T T"
Pr 0.000 0.000 5.569
Pr 0.000 -2.518 9.359
Pr -2.181 1.259 9.359
Pr -2.181 -1.259 12.920
Pr 2.181 1.259 9.359
Pr 2.181 -1.259 12.920
Pr 0.000 2.518 12.920
Pr 0.000 0.000 16.711
Bi -4.547 0.000 11.140
Bi -2.273 1.313 3.713
Bi 2.273 1.313 3.713
Te 0.000 0.000 0.000
Te -2.273 -1.313 7.427
Te -2.273 1.313 14.853
Te 0.000 2.625 7.427
Se 0.000 0.000 11.140
```

Simulated powder XRD pattern
Compound: Ag5BiSe5
Radiation: Cu Kα, 1.54184 Å
Structure: the GGA-PBE geometry in Alexandria
Lines closer than 0.1° are merged.

The 10 most intense peaks (10 to 90 degrees two-theta), in order of falling intensity:
- 31.82 deg, I 100.0
- 45.83 deg, I 71.3
- 32.10 deg, I 50.4
- 45.62 deg, I 35.0
- 27.55 deg, I 30.5
- 56.83 deg, I 19.2
- 56.90 deg, I 17.6
- 76.22 deg, I 15.4
- 75.65 deg, I 14.0
- 84.96 deg, I 11.5

Structural model:
```
11
Lattice="6.289 -2.788 0.000 6.289 2.788 0.000 -2.497 0.000 7.546" Properties=species:S:1:pos:R:3 pbc="T T T"
Ag 0.000 0.000 0.000
Ag 2.495 0.000 5.064
Ag 3.919 0.000 1.239
Ag 6.163 0.000 6.307
Ag 7.586 0.000 2.482
Bi -1.248 0.000 3.773
Se 1.239 0.000 2.294
Se 0.072 0.000 6.389
Se 5.041 0.000 3.773
Se 10.010 0.000 1.157
Se 8.843 0.000 5.252
```

Simulated powder XRD pattern
Compound: MnGa3Co4
Radiation: Cu Kα, 1.54184 Å
Structure: the GGA-PBE geometry in Alexandria
Lines closer than 0.1° are merged.

The 7 most intense peaks (10 to 90 degrees two-theta), in order of falling intensity:
- 44.34 deg, I 100.0
- 44.95 deg, I 47.9
- 82.49 deg, I 28.8
- 81.19 deg, I 15.1
- 65.45 deg, I 14.4
- 63.55 deg, I 8.0
- 24.68 deg, I 0.5

Structural model:
```
8
Lattice="2.928 0.000 0.000 0.000 4.033 0.000 0.000 0.000 8.069" Properties=species:S:1:pos:R:3 pbc="T T T"
Mn 0.000 0.000 0.000
Ga 0.000 0.000 4.034
Ga 0.000 2.016 1.963
Ga 0.000 2.016 6.106
Co 1.464 0.000 2.035
Co 1.464 0.000 6.034
Co 1.464 2.016 0.000
Co 1.464 2.016 4.034
```